# 1
Diffraction record for Ba2AlZn7. The PXRD pattern is simulated, not measured: it uses a structure optimized by DFT (PBE) and Cu Kα (weighted mean of Kα1 and Kα2).

Most intense lines, 2θ from 5° to 70°, by angle:
| Position (°2θ) | I/Imax |
| --- | --- |
| 27.95 | 27 |
| 31.18 | 97 |
| 32.32 | 100 |
| 39.93 | 69 |
| 45.38 | 32 |
| 51.51 | 46 |
| 57.39 | 20 |
| 57.75 | 23 |
| 62.01 | 25 |
| 67.75 | 22 |

Structure:
a = 4.5152 Å, b = 4.5152 Å, c = 11.1451 Å
α = 90.00°, β = 90.00°, γ = 90.00°
Fractional positions:
Ba: 0.0000 0.5000 0.2472
Ba: 0.5000 0.0000 0.7528
Al: 0.0000 0.0000 0.5000
Zn: 0.0000 0.0000 0.0000
Zn: 0.0000 0.5000 0.6249
Zn: 0.0000 0.5000 0.8770
Zn: 0.5000 0.0000 0.1230
Zn: 0.5000 0.0000 0.3751
Zn: 0.5000 0.5000 0.0000
Zn: 0.5000 0.5000 0.5000

---

# 2
Diffraction record for Ba2Al2Zn3. The PXRD pattern is simulated, not measured: it uses a structure optimized by DFT (PBE) and Cu Kα (weighted mean of Kα1 and Kα2).

Most intense lines, 2θ from 5° to 70°, by angle:
| Position (°2θ) | I/Imax |
| --- | --- |
| 16.13 | 33 |
| 27.00 | 79 |
| 29.66 | 90 |
| 31.32 | 100 |
| 31.89 | 99 |
| 34.20 | 33 |
| 37.67 | 50 |
| 37.84 | 50 |
| 39.26 | 60 |
| 55.67 | 32 |

Structure:
a = 12.1114 Å, b = 4.5892 Å, c = 7.1688 Å
α = 90.00°, β = 115.34°, γ = 90.00°
Fractional positions:
Ba: 0.1430 0.0000 0.2972
Ba: 0.3570 0.5000 0.7028
Ba: 0.6430 0.5000 0.2972
Ba: 0.8570 0.0000 0.7028
Al: 0.1765 0.0000 0.8358
Al: 0.3235 0.5000 0.1642
Al: 0.6765 0.5000 0.8358
Al: 0.8235 0.0000 0.1642
Zn: 0.0000 0.5000 0.5000
Zn: 0.0859 0.5000 0.9096
Zn: 0.4141 0.0000 0.0904
Zn: 0.5000 0.0000 0.5000
Zn: 0.5859 0.0000 0.9096
Zn: 0.9141 0.5000 0.0904

---

# 3
Diffraction record for BaAlZn4. The PXRD pattern is simulated, not measured: it uses a structure optimized by DFT (PBE) and Cu Kα (weighted mean of Kα1 and Kα2).

Most intense lines, 2θ from 5° to 70°, by angle:
| Position (°2θ) | I/Imax |
| --- | --- |
| 23.66 | 57 |
| 25.15 | 88 |
| 27.84 | 37 |
| 29.71 | 95 |
| 30.88 | 100 |
| 32.34 | 40 |
| 35.83 | 67 |
| 40.25 | 47 |
| 50.20 | 37 |
| 51.55 | 55 |

Structure:
a = 9.0881 Å, b = 9.0881 Å, c = 9.0881 Å
α = 113.12°, β = 113.12°, γ = 102.41°
Fractional positions:
Ba: 0.1774 0.1774 0.0000
Ba: 0.2500 0.7500 0.5000
Ba: 0.7500 0.2500 0.5000
Ba: 0.8226 0.8226 0.0000
Al: 0.3012 0.5000 0.8012
Al: 0.5000 0.3012 0.8012
Al: 0.5000 0.6988 0.1988
Al: 0.6988 0.5000 0.1988
Zn: 0.1188 0.3027 0.4214
Zn: 0.1188 0.6973 0.8161
Zn: 0.1382 0.1382 0.5973
Zn: 0.1382 0.5409 0.0000
Zn: 0.3027 0.1188 0.4214
Zn: 0.3027 0.8812 0.1839
Zn: 0.4591 0.4591 0.5973
Zn: 0.4591 0.8618 0.0000
Zn: 0.5409 0.1382 0.0000
Zn: 0.5409 0.5409 0.4027
Zn: 0.6973 0.1188 0.8161
Zn: 0.6973 0.8812 0.5786
Zn: 0.8618 0.4591 0.0000
Zn: 0.8618 0.8618 0.4027
Zn: 0.8812 0.3027 0.1839
Zn: 0.8812 0.6973 0.5786

---

# 4
Diffraction record for Ba2Al3Zn5. The PXRD pattern is simulated, not measured: it uses a structure optimized by DFT (PBE) and Cu Kα (weighted mean of Kα1 and Kα2).

Most intense lines, 2θ from 5° to 70°, by angle:
| Position (°2θ) | I/Imax |
| --- | --- |
| 8.34 | 31 |
| 20.83 | 21 |
| 31.80 | 72 |
| 31.99 | 100 |
| 38.66 | 60 |
| 47.11 | 19 |
| 50.89 | 37 |
| 55.82 | 20 |
| 59.38 | 19 |
| 65.80 | 24 |

Structure:
a = 4.6583 Å, b = 4.6583 Å, c = 10.5956 Å
α = 90.00°, β = 90.00°, γ = 90.00°
Fractional positions:
Ba: 0.0000 0.5000 0.2450
Ba: 0.5000 0.0000 0.7550
Al: 0.0000 0.5000 0.6345
Al: 0.5000 0.0000 0.3655
Al: 0.5000 0.5000 0.5000
Zn: 0.0000 0.0000 0.0000
Zn: 0.0000 0.0000 0.5000
Zn: 0.0000 0.5000 0.8850
Zn: 0.5000 0.0000 0.1150
Zn: 0.5000 0.5000 0.0000